For MgMn6O8F4, a crystal structure in the Materials Project, relaxed with GGA+U gives the computed PXRD pattern in this record (Cu Kα, 1.54184 Å).
Neutral-atom scattering factors, no anomalous dispersion.

Largest 12 diffraction maxima, in order of falling intensity, 15 to 90 degrees two-theta:
d 3.830, 23.2 deg, intensity 100.0; d 3.255, 27.4 deg, intensity 99.3; d 2.554, 35.1 deg, intensity 44.7; d 2.532, 35.5 deg, intensity 33.0; d 2.568, 34.9 deg, intensity 31.9; d 1.692, 54.2 deg, intensity 25.9; d 1.701, 53.9 deg, intensity 22.0; d 1.827, 49.9 deg, intensity 21.0; d 2.377, 37.9 deg, intensity 20.7; d 1.854, 49.1 deg, intensity 17.6; d 1.628, 56.5 deg, intensity 17.2; d 1.496, 62.0 deg, intensity 17.1

```
data_MgMn6O8F4
_chemical_formula_sum 'Mg1 Mn6 O8 F4'
_cell_length_a 5.7716
_cell_length_b 5.9421
_cell_length_c 7.1762
_cell_angle_alpha 71.02
_cell_angle_beta 74.94
_cell_angle_gamma 81.81
_space_group_name_H-M_alt 'P 1'
_space_group_IT_number 1
loop_
_space_group_symop_operation_xyz
'x,y,z'
loop_
_atom_site_label
_atom_site_type_symbol
_atom_site_fract_x
_atom_site_fract_y
_atom_site_fract_z
Mg1 Mg 0.0000 0.0000 0.0000
Mn1 Mn 0.0107 0.5048 0.9896
Mn2 Mn 0.0565 0.4586 0.4907
Mn3 Mn 0.3464 0.8649 0.6513
Mn4 Mn 0.4341 0.7630 0.1207
Mn5 Mn 0.5898 0.2573 0.8422
Mn6 Mn 0.6468 0.1708 0.3314
O1 O 0.1067 0.6481 0.1716
O2 O 0.3159 0.1832 0.4721
O3 O 0.3433 0.5391 0.8300
O4 O 0.3661 0.0030 0.8664
O5 O 0.6330 0.0169 0.1011
O6 O 0.6602 0.8679 0.5231
O7 O 0.6687 0.4873 0.1386
O8 O 0.9224 0.3513 0.8123
F1 F 0.0115 0.1428 0.2077
F2 F 0.2786 0.7324 0.4477
F3 F 0.7240 0.3289 0.5337
F4 F 0.9867 0.8715 0.7816
```

---

For Sr2TbWO6, a crystal structure in the Materials Project, relaxed with GGA+U gives the computed PXRD pattern in this record (Cu Kα, 1.54184 Å).
Neutral-atom scattering factors, no anomalous dispersion.

Largest 12 diffraction maxima, in order of falling intensity, 15 to 90 degrees two-theta:
d 2.962, 30.2 deg, intensity 100.0; d 1.710, 53.6 deg, intensity 43.9; d 2.095, 43.2 deg, intensity 27.5; d 1.120, 87.0 deg, intensity 22.9; d 4.189, 21.2 deg, intensity 18.6; d 1.325, 71.2 deg, intensity 18.2; d 1.481, 62.7 deg, intensity 16.5; d 1.874, 48.6 deg, intensity 8.1; d 1.209, 79.2 deg, intensity 5.4; d 1.396, 67.0 deg, intensity 3.5; d 1.162, 83.1 deg, intensity 1.3; d 1.263, 75.2 deg, intensity 1.2

```
data_Sr2TbWO6
_chemical_formula_sum 'Sr8 Tb4 W4 O24'
_cell_length_a 8.3789
_cell_length_b 8.3789
_cell_length_c 8.3789
_cell_angle_alpha 90.00
_cell_angle_beta 90.00
_cell_angle_gamma 90.00
_space_group_name_H-M_alt 'P n -3'
_space_group_IT_number 201
loop_
_space_group_symop_operation_xyz
'x,y,z'
'-x,-y,-z'
'-x+1/2,-y+1/2,z'
'x+1/2,y+1/2,-z'
'x,-y+1/2,-z+1/2'
'-x,y+1/2,z+1/2'
'-x+1/2,y,-z+1/2'
'x+1/2,-y,z+1/2'
'z,x,y'
'-z,-x,-y'
'z,-x+1/2,-y+1/2'
'-z,x+1/2,y+1/2'
'-z+1/2,x,-y+1/2'
'z+1/2,-x,y+1/2'
'-z+1/2,-x+1/2,y'
'z+1/2,x+1/2,-y'
'y,z,x'
'-y,-z,-x'
'-y+1/2,z,-x+1/2'
'y+1/2,-z,x+1/2'
'-y+1/2,-z+1/2,x'
'y+1/2,z+1/2,-x'
'y,-z+1/2,-x+1/2'
'-y,z+1/2,x+1/2'
loop_
_atom_site_label
_atom_site_type_symbol
_atom_site_fract_x
_atom_site_fract_y
_atom_site_fract_z
Sr1 Sr 0.2500 0.2500 0.2500
Sr2 Sr 0.2500 0.2500 0.7500
Tb1 Tb 0.0000 0.0000 0.0000
W1 W 0.0000 0.0000 0.5000
O1 O 0.0345 0.5362 0.7646
```

---

For K2RbTbMgV2O8, a crystal structure in the Materials Project, relaxed with GGA+U gives the computed PXRD pattern in this record (Cu Kα, 1.54184 Å).
Neutral-atom scattering factors, no anomalous dispersion.

Largest 12 diffraction maxima, in order of falling intensity, 15 to 90 degrees two-theta:
d 2.979, 30.0 deg, intensity 100.0; d 3.507, 25.4 deg, intensity 68.2; d 5.160, 17.2 deg, intensity 58.0; d 2.711, 33.0 deg, intensity 51.8; d 4.541, 19.5 deg, intensity 44.8; d 2.271, 39.7 deg, intensity 30.5; d 2.005, 45.2 deg, intensity 30.4; d 1.664, 55.2 deg, intensity 23.8; d 1.806, 50.5 deg, intensity 20.6; d 1.720, 53.3 deg, intensity 18.5; d 2.176, 41.5 deg, intensity 17.7; d 1.490, 62.3 deg, intensity 17.2

```
data_K2RbTbMgV2O8
_chemical_formula_sum 'K2 Rb1 Tb1 Mg1 V2 O8'
_cell_length_a 5.9588
_cell_length_b 5.9588
_cell_length_c 9.5595
_cell_angle_alpha 90.00
_cell_angle_beta 90.00
_cell_angle_gamma 120.00
_space_group_name_H-M_alt 'P 3 m 1'
_space_group_IT_number 156
loop_
_space_group_symop_operation_xyz
'x,y,z'
'-y,x-y,z'
'-x+y,-x,z'
'-y,-x,z'
'-x+y,y,z'
'x,x-y,z'
loop_
_atom_site_label
_atom_site_type_symbol
_atom_site_fract_x
_atom_site_fract_y
_atom_site_fract_z
K1 K 0.0000 0.0000 0.0000
K2 K 0.3333 0.6667 0.5592
Rb1 Rb 0.6667 0.3333 0.4527
Tb1 Tb 0.6667 0.3333 0.8388
Mg1 Mg 0.6667 0.3333 0.1217
V1 V 0.0000 0.0000 0.6299
V2 V 0.3333 0.6667 0.0929
O1 O 0.0000 0.0000 0.4538
O2 O 0.3234 0.1617 0.6891
O3 O 0.3333 0.6667 0.2832
O4 O 0.5078 0.0156 0.0118
```

---

For BaInCo4O7, a crystal structure in the Materials Project, relaxed with GGA+U gives the computed PXRD pattern in this record (Cu Kα, 1.54184 Å).
Neutral-atom scattering factors, no anomalous dispersion.

Largest 12 diffraction maxima, in order of falling intensity, 15 to 90 degrees two-theta:
d 2.686, 33.4 deg, intensity 100.0; d 2.907, 30.8 deg, intensity 81.8; d 2.634, 34.0 deg, intensity 76.6; d 3.146, 28.4 deg, intensity 47.8; d 1.644, 55.9 deg, intensity 40.3; d 1.573, 58.7 deg, intensity 37.9; d 1.767, 51.7 deg, intensity 35.0; d 1.713, 53.5 deg, intensity 25.3; d 1.384, 67.7 deg, intensity 16.3; d 2.578, 34.8 deg, intensity 14.7; d 1.454, 64.1 deg, intensity 14.0; d 1.159, 83.4 deg, intensity 13.6

```
data_BaInCo4O7
_chemical_formula_sum 'Ba2 In2 Co8 O14'
_cell_length_a 6.2925
_cell_length_b 6.2925
_cell_length_c 10.3107
_cell_angle_alpha 90.00
_cell_angle_beta 90.00
_cell_angle_gamma 120.00
_space_group_name_H-M_alt 'P 63 m c'
_space_group_IT_number 186
_space_group_name_Hall 'P 6c -2c'
loop_
_atom_site_label
_atom_site_type_symbol
_atom_site_fract_x
_atom_site_fract_y
_atom_site_fract_z
Ba1 Ba 0.3333 0.6667 0.0000
In1 In 0.3333 0.6667 0.3798
Co1 Co 0.0000 0.0000 0.4436
Co2 Co 0.1702 0.3404 0.6911
O1 O 0.0000 0.0000 0.2529
O2 O 0.0012 0.5006 0.2588
O3 O 0.1680 0.3361 0.5038
```